The following is a simulated PXRD pattern of Nd3Sn13Rh4. It was derived from a cell relaxed with PBE, using Cu Kα.
Neutral-atom scattering factors, no anomalous dispersion.

Cell and atoms:
a b c (Å): 9.828 9.828 9.828
angles (deg): 90.00 90.00 90.00
Space group Pm-3n (No. 223)
Inequivalent atoms, fractional coordinates:
Nd 0.000 0.250 0.500
Sn 0.000 0.000 0.000
Sn 0.000 0.308 0.153
Rh 0.250 0.250 0.250

Peak list (12 most intense, 10 to 80 degrees two-theta, low angle first)
hkl	two_theta	I/Imax
3 2 0	32.86	100
3 2 1	34.14	38
4 0 0	36.57	21
4 1 0	37.74	14
4 2 0	41.07	9
4 2 2	45.20	21
4 3 3	54.44	14
5 3 2	57.84	17
5 4 0	60.30	8
6 2 2	62.71	14
6 3 2	66.61	11
6 4 1	69.65	8

---

The following is a simulated PXRD pattern of CaHf8N8O4. It was derived from a cell relaxed with PBE, using Cu Kα.
Neutral-atom scattering factors, no anomalous dispersion.

Cell and atoms:
a b c (Å): 5.454 5.617 10.306
angles (deg): 92.59 91.90 119.04
Space group P1 (No. 1)
Inequivalent atoms, fractional coordinates:
Ca 0.000 0.000 0.000
Hf 0.279 0.618 0.423
Hf 0.336 0.681 0.129
Hf 0.345 0.702 0.825
Hf 0.607 0.301 0.574
Hf 0.615 0.291 0.161
Hf 0.652 0.336 0.867
Hf 0.933 0.010 0.322
Hf 0.956 0.975 0.635
N 0.010 0.396 0.254
N 0.235 0.981 0.212
N 0.250 0.264 0.486
N 0.352 0.027 0.722
N 0.446 0.446 0.001
N 0.570 0.011 0.982
N 0.659 0.985 0.488
N 0.664 0.647 0.737
O 0.035 0.604 0.966
O 0.580 0.613 0.276
O 0.956 0.654 0.506
O 0.974 0.321 0.736

Peak list (12 most intense, 10 to 80 degrees two-theta, low angle first)
hkl	two_theta	I/Imax
-1 1 1	20.57	15
0 1 2	26.01	11
1 0 -3	31.20	46
1 -2 0	31.95	100
1 -1 3	32.10	42
2 -1 0	32.89	76
0 2 -3	43.91	21
-2 2 3	46.52	15
2 0 3	47.88	19
2 1 -3	55.39	11
0 3 0	56.39	20
3 -3 0	58.04	17